No. 1
Computed X-ray diffraction stick pattern
Compound: CsFe3Re
Radiation: Cu Kα (λ = 1.5418 Å)
Structure: DFT lattice parameters and positions (PBE)

The 8 most intense peaks (2θ from 5° to 70°), in order of rising 2θ:
| index | two_theta | I/Imax |
| --- | --- | --- |
| 1 1 0 | 26.76 | 100 |
| 1 1 1 | 32.93 | 33 |
| 2 0 0 | 38.20 | 73 |
| 2 1 1 | 47.26 | 43 |
| 2 2 0 | 55.14 | 49 |
| 3 1 0 | 62.32 | 19 |
| 3 1 1 | 65.73 | 12 |
| 2 2 2 | 69.06 | 16 |

Cell lengths 4.7114, 4.7114, 4.7114 Å; angles 90.00, 90.00, 90.00 degrees
Space group Pm-3m (No. 221)
Symmetry-distinct sites (fractional):
1 Cs 0.0000 0.0000 0.0000 [1 per cell]
2 Fe 0.0000 0.0000 0.5000 [3 per cell]
3 Re 0.5000 0.5000 0.5000 [1 per cell]


No. 2
Computed X-ray diffraction stick pattern
Compound: TbY7
Radiation: Cu Kα (λ = 1.5418 Å)
Structure: DFT lattice parameters and positions (PBE)

The 10 most intense peaks (2θ from 5° to 70°), in order of rising 2θ:
| index | two_theta | I/Imax |
| --- | --- | --- |
| 1 1 1 | 15.21 | 3 |
| 2 0 0 | 17.58 | 2 |
| 2 2 0 | 24.96 | 2 |
| 3 1 1 | 29.35 | 2 |
| 2 2 2 | 30.69 | 100 |
| 4 0 0 | 35.58 | 50 |
| 3 3 1 | 38.90 | 1 |
| 4 4 0 | 51.21 | 35 |
| 6 2 2 | 60.89 | 41 |
| 4 4 4 | 63.91 | 12 |

Cell lengths 10.0918, 10.0918, 10.0918 Å; angles 90.00, 90.00, 90.00 degrees
Space group Fm-3m (No. 225)
Symmetry-distinct sites (fractional):
1 Tb 0.0000 0.0000 0.0000 [4 per cell]
2 Y 0.0000 0.0000 0.5000 [4 per cell]
3 Y 0.0000 0.2500 0.2500 [24 per cell]